# 1
# Tl2Mo9Se11
Simulated PXRD pattern, Cu Ka. Input: the GGA-PBE geometry in the Materials Project.
Peak positions follow from Bragg's law for the DFT cell and can differ from measured ones.

The 10 most intense peaks (10° ≤ 2θ ≤ 90°), by angle:
d 7.718, intensity 44
d 4.908, intensity 54
d 3.165, intensity 48
d 3.143, intensity 56
d 2.834, intensity 62
d 2.339, intensity 38
d 2.318, intensity 32
d 2.221, intensity 28
d 2.105, intensity 100
d 1.417, intensity 27

```
44
Lattice="4.908 2.834 12.274 -4.908 2.834 12.274 0.000 -5.667 12.274" Properties=species:S:1:pos:R:3 pbc="T T T"
Tl 0.000 0.000 6.270
Tl 0.000 0.000 9.869
Tl 0.000 0.000 26.952
Tl 0.000 0.000 30.551
Mo -0.665 -4.256 13.411
Mo -4.018 -1.552 23.410
Mo -3.353 2.704 13.411
Mo -1.520 0.131 14.988
Mo -0.842 -1.307 17.301
Mo -1.553 0.076 19.520
Mo 0.646 -1.382 14.988
Mo -0.874 -1.251 21.833
Mo -0.711 1.383 17.301
Mo 0.711 -1.383 19.520
Mo 0.874 1.251 14.988
Mo -0.646 1.382 21.833
Mo 1.553 -0.076 17.301
Mo 0.842 1.307 19.520
Mo 1.520 -0.131 21.833
Mo 3.353 -2.704 23.410
Mo 4.018 1.552 13.411
Mo 0.665 4.256 23.410
Se -1.274 -2.928 11.290
Se 0.000 0.000 3.152
Se -1.728 -2.502 15.173
Se -3.029 0.152 17.222
Se -1.646 -2.548 19.599
Se -1.898 2.567 11.290
Se -3.031 0.246 21.648
Se -3.172 -0.360 25.531
Se 0.000 0.000 12.964
Se -1.302 2.748 15.173
Se 1.384 -2.699 17.222
Se -1.384 2.699 19.599
Se 1.302 -2.748 21.648
Se 0.000 0.000 23.857
Se 3.172 0.360 11.290
Se 3.031 -0.246 15.173
Se 1.898 -2.567 25.531
Se 1.646 2.548 17.222
Se 3.029 -0.152 19.599
Se 1.728 2.502 21.648
Se 0.000 0.000 33.669
Se 1.274 2.928 25.531
```

***

# 2
# RbSb3Se5
Simulated PXRD pattern, Cu Ka. Input: the GGA-PBE geometry in the Materials Project.
Peak positions follow from Bragg's law for the DFT cell and can differ from measured ones.

The 10 most intense peaks (10° ≤ 2θ ≤ 90°), by angle:
d 6.700, intensity 53
d 6.203, intensity 27
d 3.765, intensity 51
d 3.499, intensity 40
d 3.104, intensity 33
d 3.009, intensity 45
d 2.944, intensity 100
d 2.871, intensity 58
d 2.735, intensity 29
d 2.586, intensity 26

```
36
Lattice="8.888 0.000 0.000 0.000 13.401 0.000 -7.658 0.000 9.785" Properties=species:S:1:pos:R:3 pbc="T T T"
Rb -0.739 3.328 2.959
Rb -4.568 3.373 7.851
Rb 5.798 10.028 1.934
Rb 1.969 10.073 6.826
Sb -2.573 8.010 6.168
Sb 1.256 12.091 1.276
Sb 0.325 7.251 3.148
Sb -3.504 12.850 8.040
Sb 2.882 7.502 0.392
Sb -0.947 12.599 5.284
Sb 2.177 0.802 4.500
Sb -1.652 5.899 9.393
Sb 4.733 0.550 1.744
Sb 0.904 6.150 6.637
Sb -0.026 1.310 8.508
Sb 3.803 5.390 3.616
Se -5.146 6.944 7.691
Se -1.317 13.157 2.799
Se 0.543 8.639 0.929
Se -3.286 11.462 5.821
Se -0.697 9.232 4.543
Se -4.526 10.869 9.436
Se 2.132 1.150 0.965
Se -1.697 5.551 5.857
Se -1.467 1.629 6.303
Se 2.362 5.071 1.410
Se -1.133 8.329 8.374
Se 2.696 11.772 3.482
Se 2.927 7.850 3.928
Se -0.902 12.251 8.820
Se 5.755 2.532 0.349
Se 1.926 4.168 5.241
Se 4.515 1.939 3.963
Se 0.686 4.762 8.856
Se 2.547 0.244 6.985
Se 6.376 6.456 2.093
```